This entry pairs a crystal structure of Nd2PuHfAs4 with its calculated X-ray diffraction stick pattern. Radiation: Cu Kα (λ = 1.5418 Å). Structure: a PBE-relaxed structure.
Intensities are scaled so that the largest is 100.

Atomic structure:
Cell lengths 7.1134, 4.1122, 7.1431 Å; angles 90.00, 109.20, 90.00 degrees
Positions (direct):
Nd (0.0000, 0.0000, 0.0000)
Nd (0.5000, 0.5000, 0.0000)
Pu (0.0000, 0.5000, 0.5000)
Hf (0.5000, 0.0000, 0.5000)
As (0.2536, 0.0000, 0.7318)
As (0.2666, 0.5000, 0.2731)
As (0.7334, 0.5000, 0.7269)
As (0.7464, 0.0000, 0.2682)

The 10 most intense peaks (2θ = 10–90°), in order of rising 2θ:
| Position (°2θ) | Rel. int. | h k l |
| --- | --- | --- |
| 26.5 | 22 | 2 0 0 |
| 30.7 | 100 | 1 1 1 |
| 43.9 | 37 | 1 1 -3 |
| 44.1 | 37 | 0 2 0 |
| 52.1 | 9 | 2 0 -4 |
| 54.7 | 20 | 2 2 -2 |
| 72.4 | 11 | 0 2 4 |
| 72.7 | 16 | 1 3 1 |
| 80.9 | 8 | 1 3 -3 |
| 81.1 | 10 | 3 3 -1 |